Starting from DFT lattice parameters and positions (GGA-PBE), the X-ray powder pattern of Rb2Cd3Hg was calculated for Cu Kα, 1.54184 Å.
Neutral-atom scattering factors, no anomalous dispersion.

Principal peaks in the range 2θ = 10–90°, sorted by position:
2theta	d (Å)	I (rel.)
14.30	6.192	46.8
27.90	3.197	57.4
28.01	3.186	37.6
28.45	3.137	41.4
28.55	3.126	67.0
32.86	2.726	35.8
32.99	2.715	39.5
33.54	2.672	71.1
34.31	2.614	100.0
47.72	1.906	52.6

Crystal structure
Lattice parameters (Å, degrees): 12.3719 5.3435 8.5621 90.00 133.40 90.00
Space group Cm (No. 8)
Inequivalent atoms, fractional coordinates:
Rb1 0.0000 0.0000 0.0000 (multiplicity 2)
Rb2 0.1174 0.0000 0.6193 (multiplicity 2)
Cd1 0.2231 0.5000 0.4056 (multiplicity 2)
Cd2 0.3933 0.0000 0.5741 (multiplicity 2)
Cd3 0.3973 0.0000 0.2182 (multiplicity 2)
Hg1 0.2206 0.5000 0.0359 (multiplicity 2)